For Rb2PuI4, a structure optimized by DFT (GGA-PBE) gives the calculated powder X-ray diffraction pattern in this record (λ = 1.5418 Å (Cu Kα)).

Main lines, in order of rising 2θ (15° ≤ 2θ ≤ 90°):
25.60°, I = 60
26.49°, I = 36
27.21°, I = 100
30.01°, I = 37
30.35°, I = 30
33.13°, I = 38
36.05°, I = 24
37.92°, I = 47

Cell and atoms:
a = 8.044 Å, b = 8.044 Å, c = 10.098 Å
α = 116.46°, β = 116.46°, γ = 34.30°
Fractional coordinates of all 7 atoms:
Rb (0.149, 0.149, 0.178)
Rb (0.851, 0.851, 0.822)
Pu (0.500, 0.500, 0.500)
I (0.157, 0.157, 0.563)
I (0.440, 0.440, 0.150)
I (0.560, 0.560, 0.850)
I (0.843, 0.843, 0.437)